1.
Computed XRD peak list of NdH3O3 for copper Kα, from the GGA-PBE geometry in the Materials Project.
No peak broadening, texture or thermal motion is included.

Peak list (8 most intense, 2θ from 10° to 80°, in order of rising 2θ)
Position (°2θ)  I (rel.)  h k l
15.46  49.5  0 0 1
15.57  54.4  1 0 0
15.68  51.3  1 0 -1
26.96  37.6  1 0 1
28.66  100.0  0 1 1
28.75  49.1  1 1 -1
39.91  38.4  2 1 0
40.08  36.9  2 1 -2

Atomic structure:
```
NdH3O3
1.0
6.5264 0.0000 0.0000
0.0000 3.7170 0.0000
-3.2200 0.0000 5.7299
Nd H O
2 6 6
direct
0.0000 0.0000 0.0000 Nd
0.3276 0.5000 0.6603 Nd
0.3831 0.5000 0.1880 H
0.5207 0.0000 0.0414 H
0.5292 0.0000 0.4721 H
0.7989 0.5000 0.1840 H
0.8034 0.5000 0.6293 H
0.9393 0.0000 0.4649 H
0.0582 0.0000 0.4159 O
0.2701 0.5000 0.2446 O
0.3523 0.0000 0.9304 O
0.5752 0.0000 0.6373 O
0.7495 0.5000 0.0181 O
0.9730 0.5000 0.7318 O
```

2.
Computed XRD peak list of NdHO for copper Kα, from the GGA-PBE geometry in the Materials Project.
No peak broadening, texture or thermal motion is included.

Peak list (8 most intense, 2θ from 10° to 80°, in order of rising 2θ)
Position (°2θ)  I (rel.)  h k l
27.59  100.0  2 0 1
31.96  38.5  2 2 0
45.83  44.8  4 0 0
54.29  30.5  4 2 1
54.41  12.3  2 0 3
56.96  9.9  4 0 2
73.78  9.9  4 2 3
75.93  9.3  6 2 0

Atomic structure:
```
NdHO
1.0
7.9274 0.0000 0.0000
0.0000 7.9274 0.0000
0.0000 0.0000 5.5900
Nd H O
8 8 8
direct
0.0000 0.0000 0.0000 Nd
0.0000 0.5000 0.0000 Nd
0.2500 0.2500 0.4484 Nd
0.2500 0.7500 0.5000 Nd
0.5000 0.0000 0.0000 Nd
0.5000 0.5000 0.0000 Nd
0.7500 0.2500 0.5000 Nd
0.7500 0.7500 0.5516 Nd
0.0217 0.2500 0.7495 H
0.2500 0.0217 0.7495 H
0.2500 0.4783 0.7495 H
0.4783 0.2500 0.7495 H
0.5217 0.7500 0.2505 H
0.7500 0.5217 0.2505 H
0.7500 0.9783 0.2505 H
0.9783 0.7500 0.2505 H
0.0147 0.7500 0.7547 O
0.2500 0.5147 0.2453 O
0.2500 0.9853 0.2453 O
0.4853 0.7500 0.7547 O
0.5147 0.2500 0.2453 O
0.7500 0.0147 0.7547 O
0.7500 0.4853 0.7547 O
0.9853 0.2500 0.2453 O
```

3.
Computed XRD peak list of NdHO2 for copper Kα, from the GGA-PBE geometry in the Materials Project.
No peak broadening, texture or thermal motion is included.

Peak list (8 most intense, 2θ from 10° to 80°, in order of rising 2θ)
Position (°2θ)  I (rel.)  h k l
14.68  29.9  0 0 1
22.18  40.7  1 0 -1
27.47  100.0  0 1 1
29.25  51.7  1 0 1
31.26  30.5  1 0 -2
31.59  33.1  1 1 0
32.23  44.7  1 1 -1
48.10  34.4  1 1 2

Atomic structure:
```
NdHO2
1.0
4.3572 0.0000 0.0000
0.0000 3.8526 0.0000
-1.7852 0.0000 6.0348
Nd H O
2 2 4
direct
0.1705 0.0000 0.3075 Nd
0.8295 0.5000 0.6925 Nd
0.4554 0.3664 0.0283 H
0.5446 0.8664 0.9717 H
0.2567 0.5020 0.5327 O
0.2687 0.4990 0.0450 O
0.7313 0.9990 0.9550 O
0.7433 0.0020 0.4673 O
```

4.
Computed XRD peak list of NdH3O3 for copper Kα, from the GGA-PBE geometry in the Materials Project.
No peak broadening, texture or thermal motion is included.

Peak list (8 most intense, 2θ from 10° to 80°, in order of rising 2θ)
Position (°2θ)  I (rel.)  h k l
15.50  97.6  0 0 1
15.74  52.9  1 0 -1
26.88  36.5  1 0 1
27.30  69.9  1 0 -2
28.69  100.0  1 1 0
28.82  47.2  1 1 -1
39.82  69.5  0 1 2
40.22  37.2  2 1 -2

Atomic structure:
```
NdH3O3
1.0
6.5224 0.0000 0.0000
0.0000 3.7094 0.0000
-3.1729 0.0000 5.7253
Nd H O
2 6 6
direct
0.1708 0.2500 0.3327 Nd
0.8292 0.7500 0.6673 Nd
0.2149 0.2500 0.8489 H
0.3524 0.7500 0.7110 H
0.3533 0.7500 0.1150 H
0.6467 0.2500 0.8850 H
0.6476 0.2500 0.2890 H
0.7851 0.7500 0.1511 H
0.0999 0.2500 0.6840 O
0.1896 0.7500 0.0768 O
0.4135 0.7500 0.6016 O
0.5865 0.2500 0.3984 O
0.8104 0.2500 0.9232 O
0.9001 0.7500 0.3160 O
```

5.
Computed XRD peak list of NdH3O3 for copper Kα, from the GGA-PBE geometry in the Materials Project.
No peak broadening, texture or thermal motion is included.

Peak list (8 most intense, 2θ from 10° to 80°, in order of rising 2θ)
Position (°2θ)  I (rel.)  h k l
15.89  94.4  1 0 0
27.70  67.7  1 1 0
28.65  100.0  1 0 1
40.27  71.0  2 0 1
48.98  25.1  3 0 0
49.58  62.9  2 1 1
56.74  19.9  1 1 2
65.21  19.8  1 3 1

Atomic structure:
```
NdH3O3
1.0
6.4420 0.0000 0.0000
-3.2210 5.5790 0.0000
0.0000 0.0000 3.7564
Nd H O
2 6 6
direct
0.3333 0.6667 0.2500 Nd
0.6667 0.3333 0.7500 Nd
0.1371 0.8620 0.7500 H
0.1380 0.2751 0.7500 H
0.2751 0.1371 0.2500 H
0.7249 0.8629 0.7500 H
0.8620 0.7249 0.2500 H
0.8629 0.1380 0.2500 H
0.0824 0.3906 0.7500 O
0.3082 0.9176 0.7500 O
0.3906 0.3082 0.2500 O
0.6094 0.6918 0.7500 O
0.6918 0.0824 0.2500 O
0.9176 0.6094 0.2500 O
```